1.
Structure and calculated powder X-ray diffraction pattern of BaAlBO3F2 (a cell relaxed with GGA-PBE; Cu Kα (λ = 1.5418 Å)).
Kinematic intensities with the Lorentz-polarization factor, no thermal factor.

Most intense lines, 10° ≤ 2θ ≤ 90°, by intensity:
2θ (°)	Rel. int.
27.92	100
36.42	45
41.12	41
20.79	39
46.51	21
53.17	20
60.47	20
37.36	19
43.14	18
61.76	14

Atomic structure:
Lattice parameters (Å, degrees): 4.934 4.934 9.628 90.00 90.00 120.00
Fractional coordinates of all 16 atoms:
Ba 0.000 0.000 0.000
Ba 0.000 0.000 0.500
Al 0.333 0.667 0.250
Al 0.667 0.333 0.750
B 0.333 0.667 0.750
B 0.667 0.333 0.250
O 0.056 0.384 0.750
O 0.328 0.944 0.750
O 0.384 0.056 0.250
O 0.616 0.672 0.750
O 0.672 0.616 0.250
O 0.944 0.328 0.250
F 0.333 0.667 0.056
F 0.333 0.667 0.444
F 0.667 0.333 0.556
F 0.667 0.333 0.944



2.
Structure and calculated powder X-ray diffraction pattern of BaAlBO3F2 (a cell relaxed with GGA-PBE; Cu Kα (λ = 1.5418 Å)).
Kinematic intensities with the Lorentz-polarization factor, no thermal factor.

Most intense lines, 10° ≤ 2θ ≤ 90°, by intensity:
2θ (°)	Rel. int.
27.92	100
36.43	43
20.79	39
41.12	39
46.51	23
60.47	20
53.16	19
37.34	19
43.12	18
61.73	14

Atomic structure:
Lattice parameters (Å, degrees): 4.933 4.933 9.632 90.00 90.00 120.00
Fractional coordinates of all 16 atoms:
Ba 0.000 0.000 0.000
Ba 0.000 0.000 0.500
Al 0.333 0.667 0.250
Al 0.667 0.333 0.750
B 0.333 0.667 0.750
B 0.667 0.333 0.250
O 0.056 0.384 0.750
O 0.329 0.944 0.750
O 0.384 0.329 0.250
O 0.616 0.671 0.750
O 0.671 0.056 0.250
O 0.944 0.616 0.250
F 0.333 0.667 0.056
F 0.333 0.667 0.444
F 0.667 0.333 0.556
F 0.667 0.333 0.944



3.
Structure and calculated powder X-ray diffraction pattern of Be2AlB (a cell relaxed with GGA-PBE; Cu Kα (λ = 1.5418 Å)).
Kinematic intensities with the Lorentz-polarization factor, no thermal factor.

Most intense lines, 10° ≤ 2θ ≤ 90°, by intensity:
2θ (°)	Rel. int.
27.52	100
39.70	50
34.38	49
40.79	48
49.97	36
37.16	36
47.40	25
53.69	25
52.36	24
38.08	24

Atomic structure:
Lattice parameters (Å, degrees): 3.584 4.996 5.378 110.76 102.05 104.31
Fractional coordinates of all 8 atoms:
Be 0.016 0.206 0.182
Be 0.473 0.910 0.650
Be 0.527 0.090 0.350
Be 0.984 0.794 0.818
Al 0.213 0.334 0.709
Al 0.787 0.666 0.291
B 0.460 0.174 0.025
B 0.540 0.826 0.975



4.
Structure and calculated powder X-ray diffraction pattern of BeAlBO3F2 (a cell relaxed with GGA-PBE; Cu Kα (λ = 1.5418 Å)).
Kinematic intensities with the Lorentz-polarization factor, no thermal factor.

Most intense lines, 10° ≤ 2θ ≤ 90°, by intensity:
2θ (°)	Rel. int.
29.26	100
18.90	73
38.83	71
43.52	54
22.13	47
38.34	42
70.30	26
72.92	23
55.71	22
45.14	19

Atomic structure:
Lattice parameters (Å, degrees): 4.639 4.639 4.695 90.00 90.00 120.00
Fractional coordinates of all 8 atoms:
Be 0.000 0.000 0.000
Al 0.667 0.333 0.284
B 0.333 0.667 0.137
O 0.043 0.682 0.143
O 0.318 0.361 0.143
O 0.639 0.957 0.143
F 0.000 0.000 0.691
F 0.667 0.333 0.638



5.
Structure and calculated powder X-ray diffraction pattern of Y2BeAlBO7 (a cell relaxed with GGA-PBE; Cu Kα (λ = 1.5418 Å)).
Kinematic intensities with the Lorentz-polarization factor, no thermal factor.

Most intense lines, 10° ≤ 2θ ≤ 90°, by intensity:
2θ (°)	Rel. int.
33.04	100
47.13	43
30.67	38
18.68	32
27.00	28
25.35	24
55.16	20
56.30	17
38.56	16
65.35	14

Atomic structure:
Lattice parameters (Å, degrees): 4.750 7.375 7.391 90.00 90.04 90.00
Fractional coordinates of all 24 atoms:
Y 0.001 0.000 0.096
Y 0.014 0.326 0.424
Y 0.986 0.826 0.576
Y 0.999 0.500 0.904
Be 0.448 0.530 0.614
Be 0.552 0.030 0.386
Al 0.498 0.662 0.244
Al 0.502 0.162 0.756
B 0.432 0.802 0.886
B 0.568 0.302 0.114
O 0.218 0.025 0.386
O 0.263 0.307 0.104
O 0.283 0.339 0.682
O 0.284 0.584 0.421
O 0.286 0.742 0.062
O 0.292 0.982 0.842
O 0.319 0.678 0.751
O 0.681 0.178 0.249
O 0.708 0.482 0.158
O 0.714 0.242 0.938
O 0.716 0.084 0.579
O 0.717 0.839 0.318
O 0.737 0.807 0.896
O 0.782 0.525 0.614